(1)
The following is a computed PXRD pattern of NaSrGaF6. It was derived from a cell relaxed with GGA-PBE, using CuKα.
No peak broadening, texture or thermal motion is included.

Structural model:
```
data_NaSrGaF6
_symmetry_space_group_name_H-M 'P 21 21 21'
_symmetry_Int_Tables_number 19
_symmetry_space_group_name_Hall 'P 2ac 2ab'
_cell_length_a 5.4307
_cell_length_b 9.4222
_cell_length_c 10.4855
_cell_angle_alpha 90.00
_cell_angle_beta 90.00
_cell_angle_gamma 90.00
loop_
_atom_site_label
_atom_site_type_symbol
_atom_site_fract_x
_atom_site_fract_y
_atom_site_fract_z
Na1 Na 0.0403 0.1487 0.0849
Sr1 Sr 0.0082 0.6834 0.8262
Ga1 Ga 0.0359 0.5003 0.1268
F1 F 0.1382 0.9929 0.5316
F2 F 0.1594 0.8417 0.3150
F3 F 0.2072 0.1236 0.2985
F4 F 0.2148 0.5200 0.2838
F5 F 0.2174 0.6566 0.0505
F6 F 0.2176 0.6414 0.5851
```

Top 6 peaks for 2θ from 5° to 70°, by angle:
index, 2θ/deg, I_rel
1 1 1, 20.69, 100
1 2 0, 25.02, 45
1 1 2, 25.44, 74
1 2 1, 26.45, 89
1 1 3, 31.90, 39
2 3 2, 47.54, 75

(2)
The following is a computed PXRD pattern of SrAu5S4. It was derived from a cell relaxed with GGA-PBE, using CuKα.
No peak broadening, texture or thermal motion is included.

Structural model:
```
data_SrAu5S4
_symmetry_space_group_name_H-M 'C 1 2/m 1'
_symmetry_Int_Tables_number 12
_symmetry_space_group_name_Hall '-C 2y'
_cell_length_a 16.6662
_cell_length_b 4.3783
_cell_length_c 7.6438
_cell_angle_alpha 90.00
_cell_angle_beta 116.09
_cell_angle_gamma 90.00
loop_
_atom_site_label
_atom_site_type_symbol
_atom_site_fract_x
_atom_site_fract_y
_atom_site_fract_z
Sr1 Sr 0.0000 0.0000 0.0000
Au1 Au 0.0000 0.0000 0.5000
Au2 Au 0.1283 0.5000 0.6025
Au3 Au 0.2377 0.5000 0.2440
S1 S 0.1050 0.5000 0.2665
S2 S 0.1315 0.0000 0.8007
```

Top 6 peaks for 2θ from 5° to 70°, by angle:
index, 2θ/deg, I_rel
0 0 1, 12.90, 59
2 0 -2, 23.28, 100
3 1 0, 27.10, 60
3 1 1, 33.44, 54
5 1 -1, 33.80, 60
5 1 -2, 36.29, 51

(3)
The following is a computed PXRD pattern of Li2HgN. It was derived from a cell relaxed with GGA-PBE, using CuKα.
No peak broadening, texture or thermal motion is included.

Structural model:
```
data_Li2HgN
_symmetry_space_group_name_H-M 'I -4 2 d'
_symmetry_Int_Tables_number 122
_symmetry_space_group_name_Hall 'I -4 2bw'
_cell_length_a 4.7063
_cell_length_b 4.7063
_cell_length_c 11.8899
_cell_angle_alpha 90.00
_cell_angle_beta 90.00
_cell_angle_gamma 90.00
loop_
_atom_site_label
_atom_site_type_symbol
_atom_site_fract_x
_atom_site_fract_y
_atom_site_fract_z
Li1 Li 0.0034 0.2500 0.1250
Hg1 Hg 0.0000 0.0000 0.5000
N1 N 0.0000 0.0000 0.0000
```

Top 6 peaks for 2θ from 5° to 70°, by angle:
index, 2θ/deg, I_rel
1 0 1, 20.29, 92
1 0 3, 29.46, 45
1 1 2, 30.79, 100
2 0 0, 38.25, 28
2 1 1, 43.67, 32
2 0 4, 49.40, 27

(4)
The following is a computed PXRD pattern of Pm3PrSm5. It was derived from a cell relaxed with GGA-PBE, using CuKα.
No peak broadening, texture or thermal motion is included.

Structural model:
```
data_Pm3PrSm5
_symmetry_space_group_name_H-M 'C 1 2/c 1'
_symmetry_Int_Tables_number 15
_symmetry_space_group_name_Hall '-C 2yc'
_cell_length_a 20.7253
_cell_length_b 6.2114
_cell_length_c 11.6251
_cell_angle_alpha 90.00
_cell_angle_beta 121.95
_cell_angle_gamma 90.00
loop_
_atom_site_label
_atom_site_type_symbol
_atom_site_fract_x
_atom_site_fract_y
_atom_site_fract_z
Pm1 Pm 0.0000 0.0000 0.0000
Pm2 Pm 0.1803 0.2261 0.0307
Pr1 Pr 0.0000 0.1079 0.7500
Sm1 Sm 0.0000 0.4090 0.2500
Sm2 Sm 0.1410 0.3146 0.6474
Sm3 Sm 0.1790 0.2030 0.3369
```

Top 6 peaks for 2θ from 5° to 70°, by angle:
index, 2θ/deg, I_rel
1 1 -3, 28.71, 63
5 1 -3, 29.31, 60
2 2 -1, 30.27, 29
6 0 0, 30.51, 100
1 1 3, 33.53, 39
7 1 -3, 34.59, 26

Please write out number 2 again, unchanged.
The following is a computed PXRD pattern of SrAu5S4. It was derived from a cell relaxed with GGA-PBE, using CuKα.
No peak broadening, texture or thermal motion is included.

Structural model:
```
data_SrAu5S4
_symmetry_space_group_name_H-M 'C 1 2/m 1'
_symmetry_Int_Tables_number 12
_symmetry_space_group_name_Hall '-C 2y'
_cell_length_a 16.6662
_cell_length_b 4.3783
_cell_length_c 7.6438
_cell_angle_alpha 90.00
_cell_angle_beta 116.09
_cell_angle_gamma 90.00
loop_
_atom_site_label
_atom_site_type_symbol
_atom_site_fract_x
_atom_site_fract_y
_atom_site_fract_z
Sr1 Sr 0.0000 0.0000 0.0000
Au1 Au 0.0000 0.0000 0.5000
Au2 Au 0.1283 0.5000 0.6025
Au3 Au 0.2377 0.5000 0.2440
S1 S 0.1050 0.5000 0.2665
S2 S 0.1315 0.0000 0.8007
```

Top 6 peaks for 2θ from 5° to 70°, by angle:
index, 2θ/deg, I_rel
0 0 1, 12.90, 59
2 0 -2, 23.28, 100
3 1 0, 27.10, 60
3 1 1, 33.44, 54
5 1 -1, 33.80, 60
5 1 -2, 36.29, 51